Starting from the GGA-PBE geometry in the Materials Project, the powder XRD pattern of Cs3PuH4O7 was simulated for Cu Kα (weighted mean of Kα1 and Kα2).

Peak list (10 most intense, 2θ = 10–90°, by angle)
d 6.027, I = 466; d 5.567, I = 440; d 3.826, I = 579; d 3.599, I = 541; d 3.574, I = 1000; d 3.480, I = 764; d 3.384, I = 466; d 3.353, I = 645; d 2.574, I = 411; d 1.930, I = 408

Structure:
```
Cs3PuH4O7
1.0
6.961 0.000 0.000
0.000 12.053 0.000
-6.862 0.000 12.552
Cs Pu H O
12 4 16 28
direct
0.019 0.221 0.245
0.019 0.279 0.745
0.256 0.620 0.051
0.256 0.880 0.551
0.458 0.537 0.635
0.458 0.963 0.135
0.542 0.037 0.865
0.542 0.463 0.365
0.744 0.120 0.449
0.744 0.380 0.949
0.981 0.721 0.255
0.981 0.779 0.755
0.382 0.206 0.593
0.382 0.294 0.093
0.618 0.706 0.907
0.618 0.794 0.407
0.045 0.129 0.049
0.045 0.371 0.549
0.070 0.080 0.917
0.070 0.420 0.417
0.083 0.545 0.704
0.083 0.955 0.204
0.317 0.530 0.865
0.317 0.970 0.365
0.683 0.030 0.635
0.683 0.470 0.135
0.917 0.045 0.796
0.917 0.455 0.296
0.930 0.580 0.583
0.930 0.920 0.083
0.955 0.629 0.451
0.955 0.871 0.951
0.053 0.022 0.862
0.053 0.478 0.362
0.081 0.172 0.002
0.081 0.328 0.502
0.215 0.118 0.639
0.215 0.382 0.139
0.279 0.117 0.468
0.279 0.383 0.968
0.314 0.586 0.815
0.314 0.914 0.315
0.452 0.706 0.452
0.452 0.794 0.952
0.488 0.208 0.220
0.488 0.292 0.720
0.512 0.708 0.280
0.512 0.792 0.780
0.548 0.206 0.048
0.548 0.294 0.548
0.686 0.086 0.685
0.686 0.414 0.185
0.721 0.617 0.032
0.721 0.883 0.532
0.785 0.618 0.861
0.785 0.882 0.361
0.919 0.672 0.498
0.919 0.828 0.998
0.947 0.522 0.638
0.947 0.978 0.138
```